Starting from a GGA-PBE-relaxed structure, the PXRD pattern of PuCdGa was computed for copper Kα.

Crystal structure
```
data_PuCdGa
_chemical_formula_sum 'Pu1 Cd1 Ga1'
_space_group_name_H-M_alt 'P -6 m 2'
_space_group_IT_number 187
_space_group_name_Hall 'P -6 2'
_cell_length_a 4.9363
_cell_length_b 4.9363
_cell_length_c 3.1393
_cell_angle_alpha 90.00
_cell_angle_beta 90.00
_cell_angle_gamma 120.00
loop_
_atom_site_label
_atom_site_fract_x
_atom_site_fract_y
_atom_site_fract_z
Pu1 0.0000 0.0000 0.0000
Cd1 0.3333 0.6667 0.5000
Ga1 0.6667 0.3333 0.5000
```

Main lines, by intensity (2θ from 10° to 80°):
2θ/deg	Rel. int.	(hkl)
35.48	100.0	1 0 1
36.40	76.4	1 1 0
64.91	35.0	2 1 1
20.78	34.9	1 0 0
51.74	34.5	2 0 1
71.19	21.5	1 1 2
65.50	13.7	3 0 0
77.32	8.6	2 2 0
58.83	6.3	0 0 2
42.28	6.0	2 0 0

Starting from a GGA-PBE-relaxed structure, the PXRD pattern of Rb2Cd3Ga was computed for copper Kα.

Crystal structure
```
data_Rb2Cd3Ga
_chemical_formula_sum 'Rb4 Cd6 Ga2'
_space_group_name_H-M_alt 'P m m a'
_space_group_IT_number 51
_cell_length_a 6.230
_cell_length_b 6.935
_cell_length_c 9.414
_cell_angle_alpha 90.00
_cell_angle_beta 90.00
_cell_angle_gamma 90.00
loop_
_space_group_symop_operation_xyz
'x,y,z'
'-x,-y,-z'
'-x+1/2,-y,z'
'x+1/2,y,-z'
'x+1/2,-y,-z'
'-x+1/2,y,z'
'-x,y,-z'
'x,-y,z'
loop_
_atom_site_label
_atom_site_fract_x
_atom_site_fract_y
_atom_site_fract_z
Rb1 0.250 0.000 0.112
Rb2 0.250 0.500 0.346
Cd1 0.000 0.000 0.500
Cd2 0.250 0.225 0.723
Ga1 0.250 0.500 0.939
```

Main lines, by intensity (2θ from 10° to 80°):
2θ/deg	Rel. int.	(hkl)
31.01	100.0	1 2 1
27.00	76.4	1 1 2
32.06	58.5	0 2 2
34.53	50.8	2 0 2
28.66	40.5	2 0 0
17.07	34.4	1 0 1
55.67	33.9	2 2 4
31.29	32.3	0 1 3
40.08	28.3	2 2 1
31.93	24.3	1 0 3

Starting from a GGA-PBE-relaxed structure, the PXRD pattern of RbCd2Ga was computed for copper Kα.

Crystal structure
```
data_RbCd2Ga
_chemical_formula_sum 'Rb4 Cd8 Ga4'
_space_group_name_H-M_alt 'P 1 21/c 1'
_space_group_IT_number 14
_cell_length_a 4.777
_cell_length_b 18.219
_cell_length_c 6.364
_cell_angle_alpha 90.00
_cell_angle_beta 90.00
_cell_angle_gamma 90.00
loop_
_space_group_symop_operation_xyz
'x,y,z'
'-x,-y,-z'
'-x,y+1/2,-z+1/2'
'x,-y+1/2,z+1/2'
loop_
_atom_site_label
_atom_site_fract_x
_atom_site_fract_y
_atom_site_fract_z
Rb1 0.248 0.082 0.252
Cd1 0.248 0.191 0.752
Cd2 0.252 0.750 0.497
Ga1 0.251 0.617 0.747
```

Main lines, by intensity (2θ from 10° to 80°):
2θ/deg	Rel. int.	(hkl)
34.00	100.0	1 5 1
34.22	75.3	1 1 2
24.03	64.2	0 4 1
37.66	47.4	2 0 0
34.38	38.4	0 4 2
23.74	34.4	1 3 0
48.86	33.2	1 9 0
39.43	32.2	1 7 0
17.00	27.1	0 2 1
53.54	26.3	1 5 3

Starting from a GGA-PBE-relaxed structure, the PXRD pattern of Rb2Cd7Ga was computed for copper Kα.

Crystal structure
```
data_Rb2Cd7Ga
_chemical_formula_sum 'Rb2 Cd7 Ga1'
_space_group_name_H-M_alt 'P -4 m 2'
_space_group_IT_number 115
_cell_length_a 4.848
_cell_length_b 4.848
_cell_length_c 12.805
_cell_angle_alpha 90.00
_cell_angle_beta 90.00
_cell_angle_gamma 90.00
loop_
_space_group_symop_operation_xyz
'x,y,z'
'y,-x,-z'
'-x,-y,z'
'-y,x,-z'
'-x,y,z'
'-y,-x,-z'
'x,-y,z'
'y,x,-z'
loop_
_atom_site_label
_atom_site_fract_x
_atom_site_fract_y
_atom_site_fract_z
Rb1 0.000 0.500 0.244
Cd1 0.000 0.000 0.000
Cd2 0.000 0.000 0.500
Cd3 0.000 0.500 0.639
Cd4 0.000 0.500 0.871
Cd5 0.500 0.500 0.500
Ga1 0.500 0.500 0.000
```

Main lines, by intensity (2θ from 10° to 80°):
2θ/deg	Rel. int.	(hkl)
29.56	100.0	1 1 2
37.09	71.8	2 0 0
38.48	55.9	1 1 4
27.85	54.9	1 0 3
39.80	38.6	1 0 5
55.53	26.7	2 1 5
47.01	26.0	2 1 3
53.46	24.1	2 2 0
62.27	22.5	3 1 2
70.49	21.8	2 0 8

Starting from a GGA-PBE-relaxed structure, the PXRD pattern of RbCdGa2 was computed for copper Kα.

Crystal structure
```
data_RbCdGa2
_chemical_formula_sum 'Rb3 Cd3 Ga6'
_space_group_name_H-M_alt 'R -3 m'
_space_group_IT_number 166
_space_group_name_Hall '-R 3 2"'
_cell_length_a 4.6926
_cell_length_b 4.6926
_cell_length_c 20.1864
_cell_angle_alpha 90.00
_cell_angle_beta 90.00
_cell_angle_gamma 120.00
loop_
_atom_site_label
_atom_site_fract_x
_atom_site_fract_y
_atom_site_fract_z
Rb1 0.0000 0.0000 0.0000
Cd1 0.0000 0.0000 0.5000
Ga1 0.0000 0.0000 0.2038
```

Main lines, by intensity (2θ from 10° to 80°):
2θ/deg	Rel. int.	(hkl)
28.19	100.0	1 0 4
38.35	94.6	1 1 0
13.16	58.0	0 0 3
47.23	35.6	1 1 6
50.48	33.7	1 0 10
26.49	29.6	0 0 6
48.28	22.0	0 2 4
40.73	21.6	1 1 3
63.29	19.0	2 1 4
69.36	18.2	3 0 0

Starting from a GGA-PBE-relaxed structure, the PXRD pattern of Rb2Cd5Ga was computed for copper Kα.

Crystal structure
```
data_Rb2Cd5Ga
_chemical_formula_sum 'Rb4 Cd10 Ga2'
_space_group_name_H-M_alt 'I 4 m m'
_space_group_IT_number 107
_space_group_name_Hall 'I 4 -2'
_cell_length_a 6.558
_cell_length_b 6.558
_cell_length_c 12.692
_cell_angle_alpha 90.00
_cell_angle_beta 90.00
_cell_angle_gamma 90.00
loop_
_atom_site_label
_atom_site_fract_x
_atom_site_fract_y
_atom_site_fract_z
Rb1 0.000 0.500 0.000
Cd1 0.000 0.000 0.114
Cd2 0.250 0.250 0.256
Ga1 0.000 0.000 0.883
```

Main lines, by intensity (2θ from 10° to 80°):
2θ/deg	Rel. int.	(hkl)
30.69	100.0	2 0 2
38.84	40.7	2 2 0
13.96	25.8	0 0 2
15.21	25.7	1 0 1
39.52	25.1	2 0 4
65.31	22.3	4 2 2
34.24	21.8	1 1 4
51.41	16.3	2 0 6
28.12	14.9	0 0 4
56.10	13.4	4 0 0

Starting from a GGA-PBE-relaxed structure, the PXRD pattern of Rb3Cd4Ga2 was computed for copper Kα.

Crystal structure
```
data_Rb3Cd4Ga2
_chemical_formula_sum 'Rb6 Cd8 Ga4'
_space_group_name_H-M_alt 'C 1 2/m 1'
_space_group_IT_number 12
_cell_length_a 13.507
_cell_length_b 4.855
_cell_length_c 10.199
_cell_angle_alpha 90.00
_cell_angle_beta 110.28
_cell_angle_gamma 90.00
loop_
_space_group_symop_operation_xyz
'x,y,z'
'-x,-y,-z'
'-x,y,-z'
'x,-y,z'
'x+1/2,y+1/2,z'
'-x+1/2,-y+1/2,-z'
'-x+1/2,y+1/2,-z'
'x+1/2,-y+1/2,z'
loop_
_atom_site_label
_atom_site_fract_x
_atom_site_fract_y
_atom_site_fract_z
Rb1 0.000 0.000 0.000
Rb2 0.122 0.500 0.372
Cd1 0.089 0.000 0.641
Cd2 0.231 0.500 0.070
Ga1 0.190 0.500 0.770
```

Main lines, by intensity (2θ from 10° to 80°):
2θ/deg	Rel. int.	(hkl)
13.83	100.0	2 0 -1
27.99	95.9	0 0 3
29.34	93.0	3 1 -2
36.40	87.0	1 1 3
37.04	70.8	0 2 0
32.23	52.0	4 0 -3
51.59	50.1	7 1 -1
26.40	48.6	4 0 -1
37.80	43.5	3 1 2
31.84	35.5	3 1 1

Starting from a GGA-PBE-relaxed structure, the PXRD pattern of Cd2GaRh2 was computed for copper Kα.

Crystal structure
```
data_Cd2GaRh2
_chemical_formula_sum 'Cd4 Ga2 Rh4'
_space_group_name_H-M_alt 'P 4/m b m'
_space_group_IT_number 127
_space_group_name_Hall '-P 4 2ab'
_cell_length_a 6.402
_cell_length_b 6.402
_cell_length_c 4.329
_cell_angle_alpha 90.00
_cell_angle_beta 90.00
_cell_angle_gamma 90.00
loop_
_atom_site_label
_atom_site_fract_x
_atom_site_fract_y
_atom_site_fract_z
Cd1 0.162 0.338 0.000
Ga1 0.000 0.000 0.500
Rh1 0.145 0.645 0.500
```

Main lines, by intensity (2θ from 10° to 80°):
2θ/deg	Rel. int.	(hkl)
37.67	100.0	2 1 1
44.77	26.2	3 1 0
41.73	21.8	0 0 2
62.85	18.4	3 1 2
73.49	13.3	2 1 3
63.67	9.9	4 1 1
34.86	8.6	2 0 1
19.61	5.9	1 1 0
77.04	5.6	3 3 2
61.45	5.5	3 3 0